PaWF6: calculated powder X-ray diffraction pattern (Cu Kα X-rays), based on the PBE+U geometry in Alexandria.
Neutral-atom scattering factors, no anomalous dispersion.

Most intense lines, 10 to 80 degrees two-theta, by intensity:
- (1 1 -1), 2θ 20.89, 4.252 Å, rel. 100
- (2 0 0), 2θ 24.62, 3.615 Å, rel. 37
- (1 1 1), 2θ 31.77, 2.817 Å, rel. 33
- (3 1 -1), 2θ 33.23, 2.696 Å, rel. 32
- (0 2 0), 2θ 26.86, 3.320 Å, rel. 21
- (2 2 -2), 2θ 42.52, 2.126 Å, rel. 19
- (0 2 2), 2θ 48.71, 1.869 Å, rel. 16
- (1 3 -1), 2θ 44.07, 2.055 Å, rel. 15
- (4 2 -2), 2θ 50.78, 1.798 Å, rel. 14
- (2 2 0), 2θ 36.75, 2.445 Å, rel. 14

Crystal structure
a = 8.863 Å, b = 6.639 Å, c = 5.546 Å
α = 90.00°, β = 125.34°, γ = 90.00°
Element x y z (fractional)
Pa: 0.000 0.000 0.000
Pa: 0.500 0.500 0.000
W: 0.000 0.500 0.500
W: 0.500 0.000 0.500
F: 0.057 0.249 0.315
F: 0.057 0.751 0.315
F: 0.231 0.500 0.964
F: 0.269 0.000 0.036
F: 0.443 0.251 0.685
F: 0.443 0.749 0.685
F: 0.557 0.251 0.315
F: 0.557 0.749 0.315
F: 0.731 0.000 0.964
F: 0.769 0.500 0.036
F: 0.943 0.249 0.685
F: 0.943 0.751 0.685